[1]
# CsNa2Be6B5O15
Simulated powder diffractogram, CuKα. Input: a PBE-relaxed structure.
Peak positions follow from Bragg's law for the DFT cell and can differ from measured ones.

Structure:
abc: 7.344 7.344 10.872
angles: 102.37 102.37 35.27
Fractional positions:
1 Cs 0.000 0.000 0.000
2 Na 0.337 0.287 0.456
3 Na 0.713 0.663 0.544
4 Be 0.141 0.138 0.703
5 Be 0.245 0.270 0.923
6 Be 0.491 0.490 0.365
7 Be 0.510 0.509 0.635
8 Be 0.730 0.755 0.077
9 Be 0.862 0.859 0.297
10 B 0.332 0.349 0.164
11 B 0.352 0.313 0.725
12 B 0.651 0.668 0.836
13 B 0.687 0.648 0.275
14 B 0.995 0.005 0.500
15 O 0.120 0.455 0.062
16 O 0.237 0.558 0.265
17 O 0.266 0.206 0.645
18 O 0.304 0.696 0.500
19 O 0.344 0.347 0.853
20 O 0.438 0.378 0.664
21 O 0.442 0.763 0.735
22 O 0.545 0.880 0.938
23 O 0.622 0.562 0.336
24 O 0.636 0.036 0.166
25 O 0.653 0.656 0.147
26 O 0.783 0.111 0.398
27 O 0.794 0.734 0.355
28 O 0.889 0.217 0.602
29 O 0.964 0.364 0.834

Principal peaks in the range 2θ = 10–90°, in order of rising 2θ:
two_theta	Rel. int.
18.76	31
23.18	95
26.02	53
27.75	52
28.05	100
30.42	35
41.47	31
43.02	34

---

[2]
# KBe2BO3F2
Simulated powder diffractogram, CuKα. Input: a PBE-relaxed structure.
Peak positions follow from Bragg's law for the DFT cell and can differ from measured ones.

Structure:
abc: 13.367 13.367 13.367
angles: 19.16 19.16 19.16
Fractional positions:
1 K 0.000 0.000 0.000
2 K 0.500 0.500 0.500
3 Be 0.098 0.098 0.098
4 Be 0.402 0.402 0.402
5 Be 0.598 0.598 0.598
6 Be 0.902 0.902 0.902
7 B 0.250 0.250 0.250
8 B 0.750 0.750 0.750
9 O 0.060 0.750 0.440
10 O 0.250 0.560 0.940
11 O 0.440 0.060 0.750
12 O 0.560 0.940 0.250
13 O 0.750 0.440 0.060
14 O 0.940 0.250 0.560
15 F 0.137 0.137 0.137
16 F 0.363 0.363 0.363
17 F 0.637 0.637 0.637
18 F 0.863 0.863 0.863

Principal peaks in the range 2θ = 10–90°, in order of rising 2θ:
two_theta	Rel. int.
23.52	15
27.19	36
29.44	100
39.69	16
40.54	28
41.15	16
42.92	33
50.89	13